1.
The following is a calculated powder X-ray diffraction pattern of Tl2PdO2. It was derived from DFT lattice parameters and positions (PBE), using λ = 1.5418 Å (Cu Kα).
Intensities are scaled so that the largest is 100.

Peak list (8 most intense, 10 to 90 degrees two-theta, sorted by position)
two_theta  Rel. int.
28.38  63
30.45  46
31.63  100
42.11  41
43.01  94
58.73  21
64.92  18
68.23  23

Crystal structure
Cell lengths 5.871, 9.684, 3.145 Å; angles 90.00, 90.00, 90.00 degrees
Sites, in units of the cell vectors:
Tl1 0.044 0.168 0.000
Tl2 0.456 0.668 0.000
Tl3 0.544 0.332 0.000
Tl4 0.956 0.832 0.000
Pd1 0.000 0.500 0.000
Pd2 0.500 0.000 0.000
O1 0.145 0.390 0.500
O2 0.355 0.890 0.500
O3 0.645 0.110 0.500
O4 0.855 0.610 0.500

2.
The following is a calculated powder X-ray diffraction pattern of Tl2Pd2O3. It was derived from DFT lattice parameters and positions (PBE), using λ = 1.5418 Å (Cu Kα).
Intensities are scaled so that the largest is 100.

Peak list (8 most intense, 10 to 90 degrees two-theta, sorted by position)
two_theta  Rel. int.
29.20  66
33.84  64
37.98  100
45.29  65
60.54  19
63.29  64
68.60  20
83.64  19

Crystal structure
Cell lengths 6.489, 6.489, 6.489 Å; angles 109.47, 109.47, 109.47 degrees
Sites, in units of the cell vectors:
Tl1 0.000 0.381 0.500
Tl2 0.119 0.119 0.119
Tl3 0.381 0.500 0.000
Tl4 0.500 0.000 0.381
Pd1 0.000 0.882 0.500
Pd2 0.500 0.000 0.882
Pd3 0.618 0.618 0.618
Pd4 0.882 0.500 0.000
O1 0.040 0.750 0.790
O2 0.250 0.710 0.460
O3 0.460 0.250 0.710
O4 0.710 0.460 0.250
O5 0.750 0.790 0.040
O6 0.790 0.040 0.750

What did the first record say?
The following is a calculated powder X-ray diffraction pattern of Tl2PdO2. It was derived from DFT lattice parameters and positions (PBE), using λ = 1.5418 Å (Cu Kα).
Intensities are scaled so that the largest is 100.

Peak list (8 most intense, 10 to 90 degrees two-theta, sorted by position)
two_theta  Rel. int.
28.38  63
30.45  46
31.63  100
42.11  41
43.01  94
58.73  21
64.92  18
68.23  23

Crystal structure
Cell lengths 5.871, 9.684, 3.145 Å; angles 90.00, 90.00, 90.00 degrees
Sites, in units of the cell vectors:
Tl1 0.044 0.168 0.000
Tl2 0.456 0.668 0.000
Tl3 0.544 0.332 0.000
Tl4 0.956 0.832 0.000
Pd1 0.000 0.500 0.000
Pd2 0.500 0.000 0.000
O1 0.145 0.390 0.500
O2 0.355 0.890 0.500
O3 0.645 0.110 0.500
O4 0.855 0.610 0.500